[1]
Diffraction record for CsCa2Se2. The X-ray powder pattern is calculated, not measured: it uses a crystal structure in Alexandria, relaxed with PBE and Cu Ka.

Structural model:
Lattice parameters (Å, degrees): 5.5676 5.5676 12.2746 90.00 90.00 90.00
Fractional positions:
Cs (0.0000, 0.0000, 0.0000)
Cs (0.5000, 0.5000, 0.5000)
Ca (0.0000, 0.0000, 0.3178)
Ca (0.0000, 0.0000, 0.6822)
Ca (0.5000, 0.5000, 0.1822)
Ca (0.5000, 0.5000, 0.8178)
Se (0.0000, 0.5000, 0.2500)
Se (0.0000, 0.5000, 0.7500)
Se (0.5000, 0.0000, 0.2500)
Se (0.5000, 0.0000, 0.7500)

Largest 12 diffraction maxima, by angle, 2θ = 15–90°:
| d (Å) | Position (°2θ) | Rel. int. |
| --- | --- | --- |
| 5.070 | 17.5 | 45 |
| 3.314 | 26.9 | 100 |
| 3.297 | 27.0 | 82 |
| 3.069 | 29.1 | 29 |
| 2.784 | 32.2 | 81 |
| 2.127 | 42.5 | 46 |
| 2.062 | 43.9 | 37 |
| 1.968 | 46.1 | 29 |
| 1.815 | 50.3 | 41 |
| 1.692 | 54.2 | 40 |
| 1.657 | 55.5 | 19 |
| 1.334 | 70.6 | 29 |

[2]
Diffraction record for NaLiSn3. The X-ray powder pattern is calculated, not measured: it uses a crystal structure in Alexandria, relaxed with PBE and Cu Ka.

Structural model:
Lattice parameters (Å, degrees): 9.1601 5.9837 9.8191 90.00 98.91 90.00
Fractional positions:
Na (0.1236, 0.1242, 0.2183)
Na (0.1236, 0.3758, 0.7183)
Na (0.8764, 0.6242, 0.2817)
Na (0.8764, 0.8758, 0.7817)
Li (0.4462, 0.6405, 0.6845)
Li (0.4462, 0.8595, 0.1845)
Li (0.5538, 0.1405, 0.8155)
Li (0.5538, 0.3595, 0.3155)
Sn (0.1318, 0.6343, 0.0682)
Sn (0.1318, 0.8657, 0.5682)
Sn (0.2806, 0.5985, 0.3704)
Sn (0.2806, 0.9015, 0.8704)
Sn (0.3892, 0.1718, 0.5310)
Sn (0.3892, 0.3282, 0.0310)
Sn (0.6108, 0.6718, 0.9690)
Sn (0.6108, 0.8282, 0.4690)
Sn (0.7194, 0.0985, 0.1296)
Sn (0.7194, 0.4015, 0.6296)
Sn (0.8682, 0.1343, 0.4318)
Sn (0.8682, 0.3657, 0.9318)

Largest 12 diffraction maxima, by angle, 2θ = 15–90°:
| d (Å) | Position (°2θ) | Rel. int. |
| --- | --- | --- |
| 4.850 | 18.3 | 62 |
| 4.598 | 19.3 | 58 |
| 3.607 | 24.7 | 71 |
| 3.083 | 29.0 | 30 |
| 2.845 | 31.4 | 36 |
| 2.761 | 32.4 | 44 |
| 2.738 | 32.7 | 64 |
| 2.693 | 33.3 | 27 |
| 2.614 | 34.3 | 35 |
| 2.468 | 36.4 | 100 |
| 2.259 | 39.9 | 60 |
| 2.184 | 41.3 | 28 |

[3]
Diffraction record for BaSb4Pd4. The X-ray powder pattern is calculated, not measured: it uses a crystal structure in Alexandria, relaxed with PBE and Cu Ka.

Structural model:
Lattice parameters (Å, degrees): 9.1541 9.1541 5.4446 90.00 90.00 90.00
Fractional positions:
Ba (0.2500, 0.2500, 0.2500)
Ba (0.7500, 0.7500, 0.7500)
Sb (0.1149, 0.6180, 0.1762)
Sb (0.1180, 0.8851, 0.6762)
Sb (0.3820, 0.6149, 0.6762)
Sb (0.3851, 0.8820, 0.1762)
Sb (0.6149, 0.1180, 0.8238)
Sb (0.6180, 0.3851, 0.3238)
Sb (0.8820, 0.1149, 0.3238)
Sb (0.8851, 0.3820, 0.8238)
Pd (0.0725, 0.9073, 0.1799)
Pd (0.0927, 0.5725, 0.6799)
Pd (0.4073, 0.9275, 0.6799)
Pd (0.4275, 0.5927, 0.1799)
Pd (0.5725, 0.4073, 0.8201)
Pd (0.5927, 0.0725, 0.3201)
Pd (0.9073, 0.4275, 0.3201)
Pd (0.9275, 0.0927, 0.8201)

Largest 12 diffraction maxima, by angle, 2θ = 15–90°:
| d (Å) | Position (°2θ) | Rel. int. |
| --- | --- | --- |
| 3.272 | 27.3 | 22 |
| 2.895 | 30.9 | 100 |
| 2.722 | 32.9 | 28 |
| 2.609 | 34.4 | 37 |
| 2.301 | 39.1 | 21 |
| 2.289 | 39.4 | 21 |
| 2.158 | 41.9 | 21 |
| 2.031 | 44.6 | 40 |
| 1.983 | 45.8 | 33 |
| 1.721 | 53.2 | 12 |
| 1.519 | 61.0 | 16 |
| 1.243 | 76.7 | 12 |

[4]
Diffraction record for Ho2MnAl8. The X-ray powder pattern is calculated, not measured: it uses a crystal structure in Alexandria, relaxed with PBE and Cu Ka.

Structural model:
Lattice parameters (Å, degrees): 4.2274 4.2274 11.2540 90.00 90.00 90.00
Fractional positions:
Ho (0.0000, 0.0000, 0.1920)
Ho (0.0000, 0.0000, 0.8080)
Mn (0.0000, 0.0000, 0.5000)
Al (0.0000, 0.5000, 0.0000)
Al (0.0000, 0.5000, 0.3823)
Al (0.0000, 0.5000, 0.6177)
Al (0.5000, 0.0000, 0.0000)
Al (0.5000, 0.0000, 0.3823)
Al (0.5000, 0.0000, 0.6177)
Al (0.5000, 0.5000, 0.1895)
Al (0.5000, 0.5000, 0.8105)

Largest 12 diffraction maxima, by angle, 2θ = 15–90°:
| d (Å) | Position (°2θ) | Rel. int. |
| --- | --- | --- |
| 4.227 | 21.0 | 92 |
| 3.751 | 23.7 | 24 |
| 3.380 | 26.4 | 21 |
| 2.989 | 29.9 | 27 |
| 2.806 | 31.9 | 54 |
| 2.640 | 34.0 | 44 |
| 2.338 | 38.5 | 100 |
| 2.114 | 42.8 | 49 |
| 1.891 | 48.1 | 21 |
| 1.688 | 54.3 | 24 |
| 1.541 | 60.0 | 21 |
| 1.259 | 75.5 | 27 |

[5]
Diffraction record for Tm4GaAu. The X-ray powder pattern is calculated, not measured: it uses a crystal structure in Alexandria, relaxed with PBE and Cu Ka.

Structural model:
Lattice parameters (Å, degrees): 10.9589 10.9589 6.1983 90.00 90.00 153.29
Fractional positions:
Tm (0.0611, 0.9389, 0.5000)
Tm (0.1906, 0.8094, 0.2041)
Tm (0.2155, 0.7845, 0.6889)
Tm (0.3769, 0.6231, 0.4234)
Tm (0.6231, 0.3769, 0.9234)
Tm (0.7845, 0.2155, 0.1889)
Tm (0.8094, 0.1906, 0.7041)
Tm (0.9389, 0.0611, 0.0000)
Ga (0.3390, 0.6610, 0.9503)
Ga (0.6610, 0.3390, 0.4503)
Au (0.0711, 0.9289, 0.9903)
Au (0.9289, 0.0711, 0.4903)

Largest 12 diffraction maxima, by angle, 2θ = 15–90°:
| d (Å) | Position (°2θ) | Rel. int. |
| --- | --- | --- |
| 5.350 | 16.6 | 25 |
| 4.926 | 18.0 | 62 |
| 2.976 | 30.0 | 53 |
| 2.679 | 33.4 | 24 |
| 2.610 | 34.4 | 100 |
| 2.532 | 35.5 | 71 |
| 2.478 | 36.3 | 83 |
| 2.247 | 40.1 | 34 |
| 1.928 | 47.1 | 32 |
| 1.764 | 51.8 | 19 |
| 1.476 | 63.0 | 18 |
| 1.333 | 70.7 | 19 |

[6]
Diffraction record for Na2SrP2O7. The X-ray powder pattern is calculated, not measured: it uses a crystal structure in Alexandria, relaxed with PBE and Cu Ka.

Structural model:
Lattice parameters (Å, degrees): 7.9004 7.9004 7.9004 41.32 41.32 41.32
Fractional positions:
Na (0.2295, 0.2295, 0.2295)
Na (0.7705, 0.7705, 0.7705)
Sr (0.0000, 0.0000, 0.0000)
P (0.4254, 0.4254, 0.4254)
P (0.5746, 0.5746, 0.5746)
O (0.1557, 0.3801, 0.6846)
O (0.3154, 0.6199, 0.8443)
O (0.3801, 0.6846, 0.1557)
O (0.5000, 0.5000, 0.5000)
O (0.6199, 0.8443, 0.3154)
O (0.6846, 0.1557, 0.3801)
O (0.8443, 0.3154, 0.6199)

Largest 12 diffraction maxima, by angle, 2θ = 15–90°:
| d (Å) | Position (°2θ) | Rel. int. |
| --- | --- | --- |
| 4.409 | 20.1 | 99 |
| 3.603 | 24.7 | 63 |
| 3.223 | 27.7 | 100 |
| 2.787 | 32.1 | 85 |
| 2.603 | 34.5 | 26 |
| 2.205 | 40.9 | 47 |
| 1.821 | 50.1 | 36 |
| 1.803 | 50.6 | 16 |
| 1.729 | 53.0 | 22 |
| 1.681 | 54.6 | 17 |
| 1.609 | 57.2 | 27 |
| 1.514 | 61.2 | 16 |

[7]
Diffraction record for ZnSe2O10. The X-ray powder pattern is calculated, not measured: it uses a crystal structure in Alexandria, relaxed with PBE and Cu Ka.

Structural model:
Lattice parameters (Å, degrees): 8.1459 8.1459 7.4710 110.71 110.71 84.72
Fractional positions:
Zn (0.0817, 0.9183, 0.7500)
Zn (0.9183, 0.0817, 0.2500)
Se (0.0494, 0.3257, 0.7244)
Se (0.3257, 0.0494, 0.2244)
Se (0.6743, 0.9506, 0.7756)
Se (0.9506, 0.6743, 0.2756)
O (0.0972, 0.7129, 0.5132)
O (0.1061, 0.6815, 0.1269)
O (0.1344, 0.1496, 0.2266)
O (0.1496, 0.1344, 0.7266)
O (0.2864, 0.7136, 0.2500)
O (0.2871, 0.9028, 0.9868)
O (0.3185, 0.8939, 0.3731)
O (0.3701, 0.4217, 0.6828)
O (0.4126, 0.5874, 0.7500)
O (0.4217, 0.3701, 0.1828)
O (0.5783, 0.6299, 0.8172)
O (0.5874, 0.4126, 0.2500)
O (0.6299, 0.5783, 0.3172)
O (0.6815, 0.1061, 0.6269)
O (0.7129, 0.0972, 0.0132)
O (0.7136, 0.2864, 0.7500)
O (0.8504, 0.8656, 0.2734)
O (0.8656, 0.8504, 0.7734)
O (0.8939, 0.3185, 0.8731)
O (0.9028, 0.2871, 0.4868)

Largest 12 diffraction maxima, by angle, 2θ = 15–90°:
| d (Å) | Position (°2θ) | Rel. int. |
| --- | --- | --- |
| 4.210 | 21.1 | 50 |
| 3.934 | 22.6 | 97 |
| 3.761 | 23.7 | 59 |
| 3.279 | 27.2 | 100 |
| 2.889 | 31.0 | 24 |
| 2.819 | 31.7 | 26 |
| 2.698 | 33.2 | 44 |
| 2.552 | 35.2 | 18 |
| 2.536 | 35.4 | 25 |
| 2.313 | 38.9 | 27 |
| 2.263 | 39.8 | 17 |
| 2.041 | 44.4 | 18 |